Record 1
The following is a calculated powder X-ray diffraction pattern of Sr2CaO2F2. It was derived from a DFT-relaxed cell (GGA-PBE, Alexandria), using λ = 1.5418 Å (Cu Kα).
Lines closer than 0.1° are merged.

Most intense lines, 2θ from 10° to 80°, in order of rising 2θ:
d (Å), I_rel
6.337, 17.7
4.175, 37.1
3.127, 100.0
3.055, 57.1
2.226, 40.7
2.211, 61.6
2.199, 66.1
1.791, 24.6
1.563, 18.8
1.559, 41.5

a = 7.066 Å, b = 7.066 Å, c = 7.066 Å
α = 143.53°, β = 143.53°, γ = 52.53°
Fractional coordinates of all 7 atoms:
Sr 0.122 0.122 0.000
Sr 0.878 0.878 0.000
Ca 0.500 0.500 0.000
O 0.000 0.500 0.500
O 0.500 0.000 0.500
F 0.310 0.310 0.000
F 0.690 0.690 0.000

=====

Record 2
The following is a calculated powder X-ray diffraction pattern of CsGaTeS4. It was derived from a DFT-relaxed cell (GGA-PBE, Alexandria), using λ = 1.5418 Å (Cu Kα).
Lines closer than 0.1° are merged.

Most intense lines, 2θ from 10° to 80°, in order of rising 2θ:
d (Å), I_rel
4.776, 79.2
4.654, 46.5
3.798, 100.0
3.471, 75.3
3.235, 52.7
2.963, 74.8
2.765, 41.6
2.388, 49.9
2.185, 55.1
1.890, 28.7

a = 6.987 Å, b = 6.942 Å, c = 9.712 Å
α = 90.00°, β = 109.61°, γ = 90.00°
Fractional coordinates of all 14 atoms:
Cs 0.217 0.250 0.450
Cs 0.783 0.750 0.550
Ga 0.237 0.750 0.164
Ga 0.763 0.250 0.836
Te 0.275 0.250 0.014
Te 0.725 0.750 0.986
S 0.028 0.750 0.920
S 0.043 0.750 0.301
S 0.468 0.003 0.191
S 0.468 0.497 0.191
S 0.532 0.503 0.809
S 0.532 0.997 0.809
S 0.957 0.250 0.699
S 0.972 0.250 0.080

=====

- What is the formula in the second record?
  CsGaTeS4